Ce6MnSb15: calculated powder diffractogram (copper Kα), based on DFT lattice parameters and positions (PBE).
No peak broadening, texture or thermal motion is included.

Atomic structure:
```
data_Ce6MnSb15
_symmetry_space_group_name_H-M 'C 1 m 1'
_symmetry_Int_Tables_number 8
_cell_length_a 15.624
_cell_length_b 19.379
_cell_length_c 4.345
_cell_angle_alpha 90.00
_cell_angle_beta 106.14
_cell_angle_gamma 90.00
loop_
_symmetry_equiv_pos_as_xyz
'x,y,z'
'x,-y,z'
'x+1/2,y+1/2,z'
'x+1/2,-y+1/2,z'
loop_
_atom_site_label
_atom_site_type_symbol
_atom_site_fract_x
_atom_site_fract_y
_atom_site_fract_z
_atom_site_occupancy
Ce1 Ce 0.000 0.131 0.000 1
Ce2 Ce 0.138 0.323 0.136 1
Ce3 Ce 0.282 0.132 0.284 1
Mn1 Mn 0.363 0.500 0.864 1
Sb1 Sb 0.043 0.500 0.039 1
Sb2 Sb 0.141 0.198 0.640 1
Sb3 Sb 0.148 0.000 0.180 1
Sb4 Sb 0.240 0.500 0.239 1
Sb5 Sb 0.277 0.383 0.774 1
Sb6 Sb 0.296 0.000 0.805 1
Sb7 Sb 0.356 0.295 0.354 1
Sb8 Sb 0.426 0.201 0.924 1
Sb9 Sb 0.478 0.500 0.477 1
Sb10 Sb 0.498 0.107 0.495 1
```

The 8 most intense peaks (15 to 90 degrees two-theta), in order of rising 2θ:
| Position (°2θ) | I/Imax |
| --- | --- |
| 25.46 | 22 |
| 28.73 | 23 |
| 30.13 | 19 |
| 30.92 | 77 |
| 34.50 | 100 |
| 41.57 | 31 |
| 44.52 | 22 |
| 62.54 | 16 |